This entry pairs a crystal structure of Fe3OF5 with its computed X-ray powder pattern. Radiation: copper Kα. Structure: a PBE+U-relaxed structure.

Largest 10 diffraction maxima, by angle, 2θ = 10–90°:
hkl, 2theta, intensity
0 2 0, 25.88, 87
2 0 -2, 26.32, 89
3 1 0, 33.78, 100
2 2 1, 38.57, 22
4 0 -1, 38.87, 17
3 3 0, 50.90, 58
1 1 -4, 51.39, 54
0 4 0, 53.22, 23
4 0 2, 58.08, 18
5 3 -2, 64.95, 39

Crystal structure
```
data_Fe3OF5
_chemical_formula_sum 'Fe12 O4 F20'
_symmetry_space_group_name_H-M 'C 1 2/m 1'
_symmetry_Int_Tables_number 12
_cell_length_a 9.2812
_cell_length_b 6.8850
_cell_length_c 7.4844
_cell_angle_alpha 90.00
_cell_angle_beta 111.69
_cell_angle_gamma 90.00
loop_
_symmetry_equiv_pos_as_xyz
'x,y,z'
'-x,-y,-z'
'-x,y,-z'
'x,-y,z'
'x+1/2,y+1/2,z'
'-x+1/2,-y+1/2,-z'
'-x+1/2,y+1/2,-z'
'x+1/2,-y+1/2,z'
loop_
_atom_site_label
_atom_site_type_symbol
_atom_site_fract_x
_atom_site_fract_y
_atom_site_fract_z
Fe1 Fe 0.0000 0.0000 0.0000
Fe2 Fe 0.0000 0.0000 0.5000
Fe3 Fe 0.1647 0.5000 0.1854
Fe4 Fe 0.1778 0.5000 0.6516
O1 O 0.2172 0.0000 0.5377
F1 F 0.0000 0.2980 0.5000
F2 F 0.0707 0.5000 0.8700
F3 F 0.0961 0.0000 0.7970
F4 F 0.1653 0.2082 0.1567
```